No. 1
Theoretical powder XRD pattern of B3SbMo4 for Cu Kα, 1.54184 Å, from the GGA-PBE geometry in OQMD.
Intensities are scaled so that the largest is 1000.

Largest 6 diffraction maxima, low angle first, 10 to 90 degrees two-theta:
32.51°, intensity 451; 35.75°, intensity 602; 37.58°, intensity 987; 37.97°, intensity 455; 39.71°, intensity 1000; 57.56°, intensity 510

Structural model:
abc: 3.2023 3.2023 23.6989
angles: 90.00 90.00 120.00
Fractional coordinates of all 16 atoms:
B  0.0000  0.0000  0.0000
B  0.0000  0.0000  0.5000
B  0.3333  0.6667  0.1089
B  0.3333  0.6667  0.3911
B  0.6667  0.3333  0.6089
B  0.6667  0.3333  0.8911
Sb  0.3333  0.6667  0.7500
Sb  0.6667  0.3333  0.2500
Mo  0.0000  0.0000  0.1567
Mo  0.0000  0.0000  0.3433
Mo  0.0000  0.0000  0.6567
Mo  0.0000  0.0000  0.8433
Mo  0.3333  0.6667  0.5547
Mo  0.3333  0.6667  0.9453
Mo  0.6667  0.3333  0.0547
Mo  0.6667  0.3333  0.4453


No. 2
Theoretical powder XRD pattern of Sc3B7Mo for Cu Kα, 1.54184 Å, from the GGA-PBE geometry in OQMD.
Intensities are scaled so that the largest is 1000.

Largest 6 diffraction maxima, low angle first, 10 to 90 degrees two-theta:
11.73°, intensity 734; 27.61°, intensity 936; 30.69°, intensity 567; 31.58°, intensity 611; 40.64°, intensity 819; 41.69°, intensity 1000

Structural model:
abc: 7.7255 7.7255 9.1693
angles: 90.00 90.00 155.28
Fractional coordinates of all 22 atoms:
Sc  0.1077  0.8923  0.5566
Sc  0.1077  0.8923  0.9434
Sc  0.2461  0.7539  0.2500
Sc  0.7539  0.2461  0.7500
Sc  0.8923  0.1077  0.0566
Sc  0.8923  0.1077  0.4434
B  0.2714  0.7286  0.5322
B  0.2714  0.7286  0.9678
B  0.3635  0.6365  0.6469
B  0.3635  0.6365  0.8531
B  0.4434  0.5566  0.2500
B  0.4840  0.5160  0.5899
B  0.4840  0.5160  0.9101
B  0.5160  0.4840  0.0899
B  0.5160  0.4840  0.4101
B  0.5566  0.4434  0.7500
B  0.6365  0.3635  0.1469
B  0.6365  0.3635  0.3531
B  0.7286  0.2714  0.0322
B  0.7286  0.2714  0.4678
Mo  0.0510  0.9490  0.2500
Mo  0.9490  0.0510  0.7500


No. 3
Theoretical powder XRD pattern of SiB4Mo3 for Cu Kα, 1.54184 Å, from the GGA-PBE geometry in OQMD.
Intensities are scaled so that the largest is 1000.

Largest 6 diffraction maxima, low angle first, 10 to 90 degrees two-theta:
28.26°, intensity 849; 32.55°, intensity 614; 36.36°, intensity 980; 42.39°, intensity 933; 43.64°, intensity 1000; 46.67°, intensity 773

Structural model:
abc: 3.0856 3.1583 8.2523
angles: 90.00 90.00 90.00
Fractional coordinates of all 8 atoms:
Si  0.0000  0.0000  0.0000
B  0.0000  0.0000  0.2776
B  0.0000  0.0000  0.7224
B  0.5000  0.0000  0.3900
B  0.5000  0.0000  0.6100
Mo  0.0000  0.5000  0.5000
Mo  0.5000  0.5000  0.1864
Mo  0.5000  0.5000  0.8136


No. 4
Theoretical powder XRD pattern of SnB2Mo for Cu Kα, 1.54184 Å, from the GGA-PBE geometry in OQMD.
Intensities are scaled so that the largest is 1000.

Largest 6 diffraction maxima, low angle first, 10 to 90 degrees two-theta:
25.40°, intensity 950; 42.08°, intensity 1000; 49.79°, intensity 480; 61.02°, intensity 164; 67.18°, intensity 200; 76.89°, intensity 344

Structural model:
abc: 4.2950 4.2950 4.2950
angles: 60.00 60.00 60.00
Fractional coordinates of all 4 atoms:
Sn  0.0000  0.0000  0.0000
B  0.5000  0.5000  0.5000
B  0.7500  0.7500  0.7500
Mo  0.2500  0.2500  0.2500